Diffraction record for Sr2MnClO3. The powder diffractogram is calculated, not measured: it uses a DFT-relaxed cell (PBE+U, the Materials Project) and Cu Kα, 1.54184 Å.

Atomic structure:
Cell: 3.921 3.921 14.878 Å, 90.00 90.00 90.00°
Space group P4/nmm (No. 129, origin choice 2)
Asymmetric unit:
Sr 0.250 0.250 0.091
Sr 0.250 0.250 0.342
Mn 0.250 0.250 0.790
Cl 0.250 0.250 0.577
O 0.250 0.250 0.926
O 0.250 0.750 0.231

Peak list (12 most intense, 5° ≤ 2θ ≤ 70°, low angle first)
hkl	2θ/deg	I/Imax
0 0 1	5.9	23
0 0 2	11.9	21
1 0 3	29.0	29
1 1 0	32.3	88
1 0 4	33.2	100
1 0 5	38.0	22
1 1 4	40.6	26
2 0 0	46.3	48
1 1 7	54.4	12
0 0 9	55.6	15
2 1 4	58.2	38
2 2 0	67.6	14